[1]
This entry pairs a crystal structure of Er4SbTe2 with its theoretical powder diffractogram. Radiation: copper Kα. Structure: a cell relaxed with GGA-PBE.

The 10 most intense peaks (2θ from 15° to 90°), by angle:
d [Å]	2θ (°)	intensity
3.343	26.67	85
2.982	29.97	47
2.921	30.60	100
2.522	35.60	60
2.508	35.80	28
2.364	38.07	47
2.200	41.03	31
2.006	45.20	37
1.994	45.48	26
1.825	49.98	28

Structure:
abc: 8.119 8.119 8.119
angles: 108.79 108.79 110.85
Element x y z (fractional)
Er  0.054  0.745  0.690
Er  0.055  0.364  0.310
Er  0.114  0.304  0.809
Er  0.255  0.946  0.310
Er  0.495  0.305  0.191
Er  0.636  0.945  0.690
Er  0.695  0.505  0.809
Er  0.696  0.886  0.191
Sb  0.000  0.000  0.000
Sb  0.750  0.250  0.500
Te  0.375  0.125  0.750
Te  0.375  0.625  0.250
Te  0.375  0.625  0.750
Te  0.875  0.625  0.250

---

[2]
This entry pairs a crystal structure of La13Ho3 with its theoretical powder diffractogram. Radiation: copper Kα. Structure: a cell relaxed with GGA-PBE.

The 10 most intense peaks (2θ from 15° to 90°), by angle:
d [Å]	2θ (°)	intensity
3.230	27.62	23
2.996	29.82	25
2.843	31.47	100
2.196	41.10	16
1.865	48.84	20
1.699	53.98	22
1.583	58.28	23
1.559	59.26	16
1.196	80.25	14
1.168	82.62	8

Structure:
abc: 7.458 8.811 8.811
angles: 85.69 90.00 90.00
Element x y z (fractional)
La  0.000  0.000  0.000
La  0.000  0.414  0.924
La  0.000  0.500  0.500
La  0.000  0.924  0.414
La  0.251  0.749  0.749
La  0.252  0.172  0.664
La  0.252  0.664  0.172
La  0.500  0.002  0.002
La  0.500  0.414  0.922
La  0.500  0.922  0.414
La  0.748  0.172  0.664
La  0.748  0.664  0.172
La  0.749  0.749  0.749
Ho  0.251  0.254  0.254
Ho  0.500  0.497  0.497
Ho  0.749  0.254  0.254

---

[3]
This entry pairs a crystal structure of Cr2FeCo6 with its theoretical powder diffractogram. Radiation: copper Kα. Structure: a cell relaxed with GGA-PBE.

The 10 most intense peaks (2θ from 15° to 90°), by angle:
d [Å]	2θ (°)	intensity
2.011	45.07	100
1.992	45.54	97
1.970	46.06	91
1.422	65.64	29
1.380	67.90	13
1.162	83.12	13
1.157	83.53	14
1.153	83.92	14
1.149	84.26	12
1.138	85.28	13

Structure:
abc: 4.604 4.604 6.213
angles: 102.32 102.32 51.80
Element x y z (fractional)
Cr  0.103  0.103  0.146
Cr  0.897  0.897  0.854
Fe  0.000  0.000  0.500
Co  0.230  0.230  0.833
Co  0.329  0.329  0.485
Co  0.454  0.454  0.176
Co  0.546  0.546  0.824
Co  0.671  0.671  0.515
Co  0.770  0.770  0.167

---

[4]
This entry pairs a crystal structure of HfZr3Ti with its theoretical powder diffractogram. Radiation: copper Kα. Structure: a cell relaxed with GGA-PBE.

The 10 most intense peaks (2θ from 15° to 90°), by angle:
d [Å]	2θ (°)	intensity
3.424	26.02	15
2.565	34.98	100
2.509	35.79	88
2.386	37.70	39
2.377	37.85	46
1.928	47.14	19
1.684	54.49	32
1.500	61.87	16
1.387	67.53	18
1.321	71.38	22

Structure:
abc: 7.750 7.750 6.218
angles: 90.00 90.00 144.13
Element x y z (fractional)
Hf  0.004  0.996  0.750
Hf  0.996  0.004  0.250
Zr  0.204  0.796  0.250
Zr  0.395  0.605  0.000
Zr  0.395  0.605  0.500
Zr  0.605  0.395  0.000
Zr  0.605  0.395  0.500
Zr  0.796  0.204  0.750
Ti  0.202  0.798  0.750
Ti  0.798  0.202  0.250

---

[5]
This entry pairs a crystal structure of Li8Sn6Ru with its theoretical powder diffractogram. Radiation: copper Kα. Structure: a cell relaxed with GGA-PBE.

The 10 most intense peaks (2θ from 15° to 90°), by angle:
d [Å]	2θ (°)	intensity
5.838	15.18	100
3.853	23.08	15
3.216	27.74	82
2.497	35.97	42
2.424	37.09	24
2.416	37.21	15
2.327	38.70	66
2.225	40.55	28
2.079	43.53	23
1.737	52.70	17

Structure:
abc: 7.340 7.340 7.340
angles: 63.34 63.34 63.34
Element x y z (fractional)
Li  0.092  0.092  0.092
Li  0.163  0.626  0.329
Li  0.329  0.163  0.626
Li  0.374  0.671  0.837
Li  0.626  0.329  0.163
Li  0.671  0.837  0.374
Li  0.837  0.374  0.671
Li  0.908  0.908  0.908
Sn  0.072  0.520  0.772
Sn  0.228  0.928  0.480
Sn  0.480  0.228  0.928
Sn  0.520  0.772  0.072
Sn  0.772  0.072  0.520
Sn  0.928  0.480  0.228
Ru  0.500  0.500  0.500

---

[6]
This entry pairs a crystal structure of Ta3Nb8Pt2 with its theoretical powder diffractogram. Radiation: copper Kα. Structure: a cell relaxed with GGA-PBE.

The 10 most intense peaks (2θ from 15° to 90°), by angle:
d [Å]	2θ (°)	intensity
5.804	15.27	12
2.331	38.62	34
2.325	38.73	100
2.311	38.97	66
1.645	55.91	12
1.643	55.98	12
1.347	69.83	11
1.340	70.23	11
1.339	70.32	12
1.337	70.44	17

Structure:
abc: 5.439 7.137 7.192
angles: 61.74 69.54 77.63
Element x y z (fractional)
Ta  0.000  0.000  0.000
Ta  0.222  0.461  0.614
Ta  0.778  0.539  0.386
Nb  0.086  0.153  0.536
Nb  0.157  0.304  0.078
Nb  0.310  0.616  0.155
Nb  0.375  0.764  0.697
Nb  0.625  0.236  0.303
Nb  0.690  0.384  0.845
Nb  0.843  0.696  0.922
Nb  0.914  0.847  0.464
Pt  0.462  0.918  0.241
Pt  0.538  0.082  0.759

---

[7]
This entry pairs a crystal structure of Rb3Bi2Br9 with its theoretical powder diffractogram. Radiation: copper Kα. Structure: a cell relaxed with GGA-PBE.

The 10 most intense peaks (2θ from 15° to 90°), by angle:
d [Å]	2θ (°)	intensity
5.793	15.30	100
4.061	21.89	40
4.029	22.06	37
3.425	26.02	29
2.892	30.92	89
2.831	31.60	56
2.643	33.92	42
2.322	38.79	45
2.303	39.11	28
2.032	44.60	30

Structure:
abc: 19.662 8.405 13.775
angles: 90.00 90.47 90.00
Element x y z (fractional)
Rb  0.069  0.082  0.322
Rb  0.069  0.418  0.822
Rb  0.264  0.567  0.496
Rb  0.264  0.933  0.996
Rb  0.421  0.079  0.655
Rb  0.421  0.421  0.155
Rb  0.579  0.579  0.845
Rb  0.579  0.921  0.345
Rb  0.736  0.067  0.004
Rb  0.736  0.433  0.504
Rb  0.931  0.582  0.178
Rb  0.931  0.918  0.678
Bi  0.164  0.508  0.166
Bi  0.164  0.992  0.666
Bi  0.337  0.004  0.327
Bi  0.337  0.496  0.827
Bi  0.663  0.504  0.173
Bi  0.663  0.996  0.673
Bi  0.836  0.008  0.334
Bi  0.836  0.492  0.834
Br  0.058  0.182  0.597
Br  0.058  0.318  0.097
Br  0.094  0.712  0.632
Br  0.094  0.788  0.132
Br  0.117  0.015  0.853
Br  0.117  0.485  0.353
Br  0.214  0.530  0.957
Br  0.214  0.970  0.457
Br  0.251  0.203  0.189
Br  0.251  0.297  0.689
Br  0.290  0.693  0.228
Br  0.290  0.807  0.728
Br  0.385  0.222  0.915
Br  0.385  0.278  0.415
Br  0.413  0.685  0.952
Br  0.413  0.815  0.452
Br  0.439  0.008  0.189
Br  0.439  0.492  0.689
Br  0.561  0.508  0.311
Br  0.561  0.992  0.811
Br  0.587  0.185  0.548
Br  0.587  0.315  0.048
Br  0.615  0.722  0.585
Br  0.615  0.778  0.085
Br  0.710  0.193  0.272
Br  0.710  0.307  0.772
Br  0.749  0.703  0.311
Br  0.749  0.797  0.811
Br  0.786  0.030  0.543
Br  0.786  0.470  0.043
Br  0.883  0.515  0.647
Br  0.883  0.985  0.147
Br  0.906  0.212  0.868
Br  0.906  0.288  0.368
Br  0.942  0.682  0.903
Br  0.942  0.818  0.403

---

[8]
This entry pairs a crystal structure of TePb5O8 with its theoretical powder diffractogram. Radiation: copper Kα. Structure: a cell relaxed with GGA-PBE.

The 10 most intense peaks (2θ from 15° to 90°), by angle:
d [Å]	2θ (°)	intensity
3.144	28.39	18
3.129	28.53	100
3.112	28.68	73
3.095	28.84	63
3.071	29.08	67
3.005	29.73	22
2.182	41.39	23
1.903	47.79	17
1.784	51.21	17
1.618	56.92	16

Structure:
abc: 7.613 12.282 13.211
angles: 90.00 124.33 90.00
Element x y z (fractional)
Te  0.078  0.115  0.219
Te  0.078  0.385  0.719
Te  0.922  0.615  0.281
Te  0.922  0.885  0.781
Pb  0.175  0.120  0.545
Pb  0.175  0.380  0.045
Pb  0.218  0.604  0.599
Pb  0.218  0.896  0.099
Pb  0.261  0.117  0.870
Pb  0.261  0.383  0.370
Pb  0.288  0.657  0.923
Pb  0.288  0.843  0.423
Pb  0.406  0.629  0.241
Pb  0.406  0.871  0.741
Pb  0.594  0.129  0.259
Pb  0.594  0.371  0.759
Pb  0.712  0.157  0.577
Pb  0.712  0.343  0.077
Pb  0.739  0.617  0.630
Pb  0.739  0.883  0.130
Pb  0.782  0.104  0.901
Pb  0.782  0.396  0.401
Pb  0.825  0.620  0.955
Pb  0.825  0.880  0.455
O  0.015  0.653  0.176
O  0.015  0.847  0.676
O  0.057  0.230  0.672
O  0.057  0.270  0.172
O  0.084  0.544  0.751
O  0.084  0.956  0.251
O  0.157  0.079  0.101
O  0.157  0.421  0.601
O  0.174  0.575  0.030
O  0.174  0.925  0.530
O  0.222  0.590  0.420
O  0.222  0.910  0.920
O  0.377  0.129  0.347
O  0.377  0.371  0.847
O  0.415  0.049  0.780
O  0.415  0.451  0.280
O  0.585  0.549  0.720
O  0.585  0.951  0.220
O  0.623  0.629  0.153
O  0.623  0.871  0.653
O  0.778  0.090  0.080
O  0.778  0.410  0.580
O  0.826  0.075  0.470
O  0.826  0.425  0.970
O  0.843  0.579  0.399
O  0.843  0.921  0.899
O  0.916  0.044  0.749
O  0.916  0.456  0.249
O  0.943  0.730  0.828
O  0.943  0.770  0.328
O  0.985  0.153  0.324
O  0.985  0.347  0.824

---

[9]
This entry pairs a crystal structure of V12Ga3Co with its theoretical powder diffractogram. Radiation: copper Kα. Structure: a cell relaxed with GGA-PBE.

The 10 most intense peaks (2θ from 15° to 90°), by angle:
d [Å]	2θ (°)	intensity
2.385	37.73	25
2.367	38.01	48
2.130	42.45	45
2.119	42.66	71
2.116	42.73	23
1.942	46.77	52
1.935	46.96	100
1.271	74.66	23
1.268	74.90	22
1.266	75.03	24

Structure:
abc: 4.731 4.737 9.538
angles: 90.00 90.00 90.00
Element x y z (fractional)
V  0.000  0.000  0.116
V  0.000  0.000  0.369
V  0.000  0.000  0.631
V  0.000  0.000  0.884
V  0.244  0.500  0.500
V  0.256  0.500  0.000
V  0.500  0.244  0.243
V  0.500  0.244  0.757
V  0.500  0.756  0.243
V  0.500  0.756  0.757
V  0.744  0.500  0.000
V  0.756  0.500  0.500
Ga  0.000  0.500  0.250
Ga  0.000  0.500  0.750
Ga  0.500  0.000  0.500
Co  0.500  0.000  0.000

---

[10]
This entry pairs a crystal structure of AcYZn2Ge2 with its theoretical powder diffractogram. Radiation: copper Kα. Structure: a cell relaxed with GGA-PBE.

The 10 most intense peaks (2θ from 15° to 90°), by angle:
d [Å]	2θ (°)	intensity
3.697	24.07	13
3.402	26.19	17
2.816	31.78	100
2.173	41.56	12
2.135	42.34	41
1.718	53.31	7
1.701	53.90	22
1.523	60.83	24
1.349	69.72	9
1.330	70.83	20

Structure:
abc: 4.269 4.269 8.691
angles: 90.00 90.00 120.00
Element x y z (fractional)
Ac  0.000  0.000  0.000
Y  0.000  0.000  0.500
Zn  0.333  0.667  0.734
Zn  0.667  0.333  0.266
Ge  0.333  0.667  0.276
Ge  0.667  0.333  0.724

---

Q: Which formula does entry 1 have?
A: Er4SbTe2

---

Q: What is the formula in the eighth record?
A: TePb5O8